For Li2Ag, a DFT-relaxed cell (PBE, Alexandria) gives the theoretical powder diffraction line list in this record (Cu Kα).
No peak broadening, texture or thermal motion is included.

Crystal structure
abc: 5.530 5.530 6.727
angles: 103.58 103.58 30.44
Element x y z (fractional)
Li (0.000, 0.000, 0.000)
Li (0.058, 0.058, 0.596)
Li (0.376, 0.376, 0.285)
Li (0.725, 0.725, 0.934)
Ag (0.341, 0.341, 0.675)
Ag (0.658, 0.658, 0.320)

Peak list (6 most intense, 10 to 90 degrees two-theta, low angle first)
| d [Å] | I/Imax |
| --- | --- |
| 6.525 | 41 |
| 4.642 | 100 |
| 3.646 | 24 |
| 2.511 | 44 |
| 2.222 | 35 |
| 2.195 | 34 |